The following is a theoretical powder diffractogram of Tb2Dy5Pu. It was derived from DFT lattice parameters and positions (PBE), using a wavelength of 1.5418 Å.

Largest 12 diffraction maxima, in order of rising 2θ, 2θ from 10° to 90°:
2θ/deg, d [Å], I_rel, hkl
28.77, 3.103, 54, 2 2 -2
30.22, 2.958, 59, 2 2 1
30.85, 2.898, 68, 3 1 0
31.13, 2.873, 100, 0 0 4
31.27, 2.861, 55, 1 3 -1
32.36, 2.767, 41, 2 2 -3
33.21, 2.697, 24, 3 1 -3
33.45, 2.679, 45, 1 3 -2
34.51, 2.599, 40, 2 2 2
36.09, 2.489, 26, 1 3 2
37.50, 2.398, 34, 3 1 -4
40.84, 2.209, 25, 1 3 3

Structure:
```
data_Tb2Dy5Pu
_chemical_formula_sum 'Tb8 Dy20 Pu4'
_cell_length_a 9.5861
_cell_length_b 9.1179
_cell_length_c 12.0146
_cell_angle_alpha 90.00
_cell_angle_beta 106.93
_cell_angle_gamma 90.00
_symmetry_space_group_name_H-M 'C 1 2/c 1'
_symmetry_Int_Tables_number 15
loop_
_symmetry_equiv_pos_as_xyz
'x,y,z'
'-x,-y,-z'
'-x,y,-z+1/2'
'x,-y,z+1/2'
'x+1/2,y+1/2,z'
'-x+1/2,-y+1/2,-z'
'-x+1/2,y+1/2,-z+1/2'
'x+1/2,-y+1/2,z+1/2'
loop_
_atom_site_label
_atom_site_fract_x
_atom_site_fract_y
_atom_site_fract_z
_atom_site_occupancy
Tb1 0.0000 0.0000 0.0000 1
Tb2 0.2500 0.2500 0.0000 1
Dy1 0.0000 0.2306 0.7500 1
Dy2 0.1249 0.3630 0.5178 1
Dy3 0.1866 0.4340 0.2601 1
Pu1 0.0000 0.1328 0.2500 1
```

=====

The following is a theoretical powder diffractogram of Tb2Dy2Pu. It was derived from DFT lattice parameters and positions (PBE), using a wavelength of 1.5418 Å.

Largest 12 diffraction maxima, in order of rising 2θ, 2θ from 10° to 90°:
2θ/deg, d [Å], I_rel, hkl
11.52, 7.679, 26, 0 2 0
28.98, 3.082, 26, 2 2 0
30.74, 2.908, 100, 1 4 1
31.10, 2.876, 92, 2 1 1
32.03, 2.794, 79, 1 5 0
33.48, 2.677, 48, 1 1 2
37.46, 2.401, 42, 1 3 2
38.30, 2.350, 23, 0 4 2
40.65, 2.219, 25, 3 1 0
44.08, 2.054, 22, 3 3 0
59.79, 1.547, 43, 3 5 2
63.05, 1.474, 22, 2 9 1

Structure:
```
data_Tb2Dy2Pu
_chemical_formula_sum 'Tb8 Dy8 Pu4'
_cell_length_a 6.7286
_cell_length_b 15.3582
_cell_length_c 5.9438
_cell_angle_alpha 90.00
_cell_angle_beta 90.00
_cell_angle_gamma 90.00
_symmetry_space_group_name_H-M 'I b a m'
_symmetry_Int_Tables_number 72
_symmetry_space_group_name_Hall '-I 2 2c'
loop_
_atom_site_label
_atom_site_fract_x
_atom_site_fract_y
_atom_site_fract_z
_atom_site_occupancy
Tb1 0.1543 0.1890 0.0000 1
Dy1 0.1329 0.4126 0.0000 1
Pu1 0.0000 0.0000 0.2500 1
```

=====

The following is a theoretical powder diffractogram of Tb3DyPu2Te6. It was derived from DFT lattice parameters and positions (PBE), using a wavelength of 1.5418 Å.

Largest 12 diffraction maxima, in order of rising 2θ, 2θ from 10° to 90°:
2θ/deg, d [Å], I_rel, hkl
28.78, 3.102, 100, 6 0 0
41.04, 2.199, 39, 7 1 -2
41.28, 2.187, 38, 5 1 2
50.69, 1.801, 7, 8 0 -4
51.01, 1.790, 7, 4 0 4
51.14, 1.786, 14, 6 2 0
59.61, 1.551, 13, 2 2 -4
67.28, 1.392, 6, 3 1 -6
67.39, 1.390, 12, 8 2 -4
67.66, 1.385, 12, 4 2 4
74.59, 1.272, 7, 9 1 -6
75.15, 1.264, 11, 7 3 -2

Structure:
```
data_Tb3DyPu2Te6
_chemical_formula_sum 'Tb6 Dy2 Pu4 Te12'
_cell_length_a 19.1520
_cell_length_b 4.3691
_cell_length_c 8.8089
_cell_angle_alpha 90.00
_cell_angle_beta 103.65
_cell_angle_gamma 90.00
_symmetry_space_group_name_H-M 'C 1 2/m 1'
_symmetry_Int_Tables_number 12
loop_
_symmetry_equiv_pos_as_xyz
'x,y,z'
'-x,-y,-z'
'-x,y,-z'
'x,-y,z'
'x+1/2,y+1/2,z'
'-x+1/2,-y+1/2,-z'
'-x+1/2,y+1/2,-z'
'x+1/2,-y+1/2,z'
loop_
_atom_site_label
_atom_site_fract_x
_atom_site_fract_y
_atom_site_fract_z
_atom_site_occupancy
Tb1 0.0000 0.0000 0.0000 1
Tb2 0.1678 0.5000 0.3342 1
Dy1 0.0000 0.0000 0.5000 1
Pu1 0.1659 0.5000 0.8330 1
Te1 0.0017 0.5000 0.2518 1
Te2 0.1661 0.0000 0.0853 1
Te3 0.1656 0.0000 0.5805 1
```